(1)
This entry pairs a crystal structure of BAs5Pb6O20 with its calculated powder diffraction line list. Radiation: Cu Kα (weighted mean of Kα1 and Kα2). Structure: the GGA-PBE geometry in the Materials Project.
Neutral-atom scattering factors, no anomalous dispersion.

Main lines, by angle (5 to 70 degrees two-theta):
| d/Å | 2θ (°) | Rel. int. | index |
| --- | --- | --- | --- |
| 4.633 | 19.16 | 61 | 1 1 1 |
| 3.456 | 25.78 | 57 | 2 0 1 |
| 3.430 | 25.98 | 44 | 0 0 3 |
| 3.126 | 28.55 | 58 | 1 2 1 |
| 2.987 | 29.91 | 100 | 2 0 2 |
| 2.069 | 43.75 | 34 | 2 2 3 |

Atomic structure:
Cell lengths 7.3373, 7.3373, 10.2895 Å; angles 90.00, 90.00, 90.00 degrees
Space group P-4 (No. 81)
Inequivalent atoms, fractional coordinates:
1 B 0.0000 0.0000 0.0000 [1 per cell]
2 As 0.1833 0.2072 0.2146 [4 per cell]
3 As 0.5000 0.5000 0.5000 [1 per cell]
4 Pb 0.0000 0.5000 0.4968 [2 per cell]
5 Pb 0.2968 0.2980 0.8086 [4 per cell]
6 O 0.0174 0.2983 0.3126 [4 per cell]
7 O 0.0213 0.7102 0.7218 [4 per cell]
8 O 0.0456 0.1655 0.0760 [4 per cell]
9 O 0.3435 0.6315 0.4161 [4 per cell]
10 O 0.3450 0.3632 0.1674 [4 per cell]



(2)
This entry pairs a crystal structure of BAsPbO5 with its calculated powder diffraction line list. Radiation: Cu Kα (weighted mean of Kα1 and Kα2). Structure: the GGA-PBE geometry in the Materials Project.
Neutral-atom scattering factors, no anomalous dispersion.

Main lines, by angle (5 to 70 degrees two-theta):
| d/Å | 2θ (°) | Rel. int. | index |
| --- | --- | --- | --- |
| 4.683 | 18.95 | 39 | 1 0 1 |
| 3.633 | 24.50 | 100 | 1 1 0 |
| 3.146 | 28.37 | 35 | 2 0 0 |
| 3.063 | 29.16 | 90 | 0 1 2 |
| 2.341 | 38.46 | 38 | 2 0 2 |
| 1.968 | 46.13 | 68 | 2 1 2 |

Atomic structure:
Cell lengths 7.2658, 7.2658, 7.0125 Å; angles 90.00, 90.00, 120.00 degrees
Space group P3_1 (No. 144)
Inequivalent atoms, fractional coordinates:
1 B 0.1056 0.0934 0.0000 [3 per cell]
2 As 0.0018 0.4051 0.1448 [3 per cell]
3 Pb 0.0016 0.3977 0.6445 [3 per cell]
4 O 0.0494 0.0064 0.1918 [3 per cell]
5 O 0.1343 0.3179 0.9896 [3 per cell]
6 O 0.1566 0.5911 0.3072 [3 per cell]
7 O 0.3355 0.1532 0.9582 [3 per cell]
8 O 0.5393 0.3983 0.3231 [3 per cell]